(1)
# Pm2ErTl3S6
Theoretical powder X-ray diffraction pattern, Cu Kα (weighted mean of Kα1 and Kα2). Input: a structure optimized by DFT (PBE).
Kinematic intensities with the Lorentz-polarization factor, no thermal factor.

Top 10 peaks for 15 to 90 degrees two-theta, in order of falling intensity:
- 2θ 29.75, I = 100
- 2θ 26.32, I = 64
- 2θ 40.91, I = 39
- 2θ 44.19, I = 34
- 2θ 23.70, I = 30
- 2θ 50.75, I = 25
- 2θ 54.18, I = 18
- 2θ 47.83, I = 16
- 2θ 67.69, I = 16
- 2θ 72.41, I = 15

```
12
Lattice="3.550 -6.148 0.000 3.550 6.148 0.000 -2.365 0.000 7.508" Properties=species:S:1:pos:R:3 pbc="T T T"
Pm 3.550 4.098 0.000
Pm 3.550 -4.098 0.000
Er 3.550 0.000 0.000
Tl -1.183 0.000 3.754
Tl 2.368 2.061 3.754
Tl 2.368 -2.061 3.754
S 0.033 1.992 6.008
S 1.248 0.000 1.516
S 0.033 -1.992 6.008
S 4.702 1.992 1.501
S 3.487 0.000 5.992
S 4.702 -1.992 1.501
```

=====

(2)
# Pm3ErSb2
Theoretical powder X-ray diffraction pattern, Cu Kα (weighted mean of Kα1 and Kα2). Input: a structure optimized by DFT (PBE).
Kinematic intensities with the Lorentz-polarization factor, no thermal factor.

Top 10 peaks for 15 to 90 degrees two-theta, in order of falling intensity:
- 2θ 29.64, I = 100
- 2θ 34.70, I = 91
- 2θ 39.69, I = 58
- 2θ 30.79, I = 40
- 2θ 51.05, I = 39
- 2θ 68.82, I = 24
- 2θ 36.73, I = 21
- 2θ 65.91, I = 20
- 2θ 57.38, I = 20
- 2θ 66.53, I = 17

```
6
Lattice="4.542 0.000 0.000 0.000 4.542 0.000 0.000 0.000 8.713" Properties=species:S:1:pos:R:3 pbc="T T T"
Pm 0.000 0.000 0.000
Pm 0.000 2.271 5.635
Pm 2.271 0.000 3.078
Er 2.271 2.271 0.000
Sb 0.000 2.271 2.408
Sb 2.271 0.000 6.306
```

=====

(3)
# Pm2Er2Sb3
Theoretical powder X-ray diffraction pattern, Cu Kα (weighted mean of Kα1 and Kα2). Input: a structure optimized by DFT (PBE).
Kinematic intensities with the Lorentz-polarization factor, no thermal factor.

Top 10 peaks for 15 to 90 degrees two-theta, in order of falling intensity:
- 2θ 30.46, I = 100
- 2θ 36.22, I = 69
- 2θ 61.61, I = 25
- 2θ 50.13, I = 24
- 2θ 48.03, I = 18
- 2θ 65.15, I = 15
- 2θ 75.25, I = 14
- 2θ 63.40, I = 12
- 2θ 43.62, I = 10
- 2θ 45.87, I = 8

```
14
Lattice="-4.640 4.640 4.640 4.640 -4.640 4.640 4.640 4.640 -4.640" Properties=species:S:1:pos:R:3 pbc="T T T"
Pm 3.013 1.627 -1.627
Pm 1.627 -1.627 3.013
Pm 1.627 1.627 1.627
Pm -1.627 3.013 1.627
Er 5.286 -0.646 0.646
Er 0.646 5.286 -0.646
Er -0.646 0.646 5.286
Er 3.994 3.994 3.994
Sb 4.640 -2.320 3.414
Sb 3.414 4.640 -2.320
Sb 4.640 2.320 1.226
Sb 2.320 1.226 4.640
Sb 1.226 4.640 2.320
Sb -2.320 3.414 4.640
```